(1)
Starting from a crystal structure in Alexandria, relaxed with GGA-PBE, the powder diffractogram of NaTl3O6 was calculated for Cu Kα (λ = 1.5418 Å).
No peak broadening, texture or thermal motion is included.

Cell and atoms:
```
NaTl3O6
1.0
4.931 -6.789 0.000
4.931 6.789 0.000
0.000 0.000 8.555
Na Tl O
1 3 6
Direct
0.000 0.000 0.000
0.000 0.000 0.500
0.000 0.500 0.000
0.500 0.000 0.000
0.000 0.000 0.276
0.000 0.000 0.724
0.060 0.297 0.000
0.297 0.060 0.000
0.703 0.940 0.000
0.940 0.703 0.000
```

Principal peaks in the range 10 to 90 degrees two-theta, by intensity:
d = 4.274 Å, I 100.0; d = 5.318 Å, I 88.9; d = 3.990 Å, I 59.9; d = 7.980 Å, I 55.0; d = 2.658 Å, I 46.4; d = 2.918 Å, I 43.5; d = 8.555 Å, I 33.7; d = 2.467 Å, I 22.7; d = 2.237 Å, I 22.3; d = 1.459 Å, I 18.9

***

(2)
Starting from a crystal structure in Alexandria, relaxed with GGA-PBE, the powder diffractogram of NaTlO was calculated for Cu Kα (λ = 1.5418 Å).
No peak broadening, texture or thermal motion is included.

Cell and atoms:
```
NaTlO
1.0
6.158 0.000 0.000
0.000 3.614 0.000
-1.737 0.000 11.655
Na Tl O
4 4 4
Direct
0.000 0.000 0.000
0.139 0.500 0.689
0.526 0.500 0.997
0.725 0.000 0.182
0.235 0.000 0.468
0.238 0.500 0.197
0.641 0.000 0.732
0.744 0.500 0.480
0.363 0.000 0.073
0.457 0.500 0.606
0.881 0.500 0.093
0.929 0.000 0.619
```

Principal peaks in the range 10 to 90 degrees two-theta, by intensity:
d = 2.660 Å, I 100.0; d = 2.832 Å, I 99.1; d = 3.061 Å, I 56.0; d = 2.914 Å, I 49.8; d = 5.758 Å, I 47.2; d = 5.098 Å, I 46.3; d = 3.045 Å, I 40.3; d = 3.885 Å, I 40.1; d = 2.589 Å, I 38.4; d = 1.936 Å, I 36.3

***

(3)
Starting from a crystal structure in Alexandria, relaxed with GGA-PBE, the powder diffractogram of NaTlO was calculated for Cu Kα (λ = 1.5418 Å).
No peak broadening, texture or thermal motion is included.

Cell and atoms:
```
NaTlO
1.0
3.521 0.000 0.000
0.000 4.551 0.000
-0.018 0.000 8.016
Na Tl O
2 2 2
Direct
0.250 0.250 0.060
0.750 0.750 0.940
0.248 0.250 0.652
0.752 0.750 0.348
0.251 0.750 0.143
0.749 0.250 0.857
```

Principal peaks in the range 10 to 90 degrees two-theta, by intensity:
d = 3.958 Å, I 100.0; d = 3.008 Å, I 63.0; d = 2.785 Å, I 62.4; d = 2.645 Å, I 62.1; d = 8.016 Å, I 53.7; d = 1.928 Å, I 47.5; d = 3.224 Å, I 41.6; d = 1.725 Å, I 34.3; d = 2.630 Å, I 26.4; d = 2.275 Å, I 24.0